CoP3: simulated powder X-ray diffraction pattern (Cu Kα, 1.54184 Å), based on a GGA-PBE-relaxed structure.

Crystal structure
```
data_CoP3
_chemical_formula_sum 'Co8 P24'
_cell_length_a 7.701
_cell_length_b 7.701
_cell_length_c 7.701
_cell_angle_alpha 90.00
_cell_angle_beta 90.00
_cell_angle_gamma 90.00
_symmetry_space_group_name_H-M 'I m -3'
_symmetry_Int_Tables_number 204
_symmetry_space_group_name_Hall '-I 2 2 3'
loop_
_atom_site_label
_atom_site_fract_x
_atom_site_fract_y
_atom_site_fract_z
Co1 0.250 0.250 0.250
P1 0.000 0.348 0.146
```

The 8 most intense peaks (2θ from 15° to 90°), sorted by position:
d_spacing	two_theta	I (rel.)	index
3.850	23.10	83	2 0 0
2.723	32.90	59	2 2 0
2.435	36.91	96	3 0 1
2.223	40.58	29	2 2 2
2.058	44.00	23	3 1 2
1.722	53.19	100	4 2 0
1.572	58.74	59	4 2 2
1.510	61.39	32	4 3 1

DyYSbBr2: simulated powder X-ray diffraction pattern (Cu Kα, 1.54184 Å), based on a GGA-PBE-relaxed structure.

Crystal structure
```
data_DyYSbBr2
_chemical_formula_sum 'Dy1 Y1 Sb1 Br2'
_cell_length_a 4.2207
_cell_length_b 4.2207
_cell_length_c 10.8007
_cell_angle_alpha 90.00
_cell_angle_beta 90.00
_cell_angle_gamma 120.00
_symmetry_space_group_name_H-M 'P 3 m 1'
_symmetry_Int_Tables_number 156
_symmetry_space_group_name_Hall 'P 3 -2"'
loop_
_atom_site_label
_atom_site_fract_x
_atom_site_fract_y
_atom_site_fract_z
Dy1 0.0000 0.0000 0.0000
Y1 0.3333 0.6667 0.3209
Sb1 0.6667 0.3333 0.1601
Br1 0.0000 0.0000 0.4794
Br2 0.3333 0.6667 0.8420
```

The 8 most intense peaks (2θ from 15° to 90°), sorted by position:
d_spacing	two_theta	I (rel.)	index
3.462	25.73	12	1 0 1
3.027	29.51	100	1 0 2
2.565	34.98	15	1 0 3
2.172	41.58	38	0 1 4
2.110	42.85	35	1 1 0
1.731	52.89	19	0 2 2
1.370	68.51	17	1 1 6
1.338	70.34	16	2 1 2

KInAuO: simulated powder X-ray diffraction pattern (Cu Kα, 1.54184 Å), based on a GGA-PBE-relaxed structure.

Crystal structure
```
data_KInAuO
_chemical_formula_sum 'K4 In4 Au4 O4'
_cell_length_a 18.419
_cell_length_b 4.505
_cell_length_c 5.323
_cell_angle_alpha 90.00
_cell_angle_beta 100.06
_cell_angle_gamma 90.00
_symmetry_space_group_name_H-M 'C 1 2/m 1'
_symmetry_Int_Tables_number 12
_symmetry_space_group_name_Hall '-C 2y'
loop_
_atom_site_label
_atom_site_fract_x
_atom_site_fract_y
_atom_site_fract_z
K1 0.082 0.000 0.207
In1 0.188 0.500 0.834
Au1 0.242 0.000 0.640
O1 0.093 0.500 0.962
```

The 8 most intense peaks (2θ from 15° to 90°), sorted by position:
d_spacing	two_theta	I (rel.)	index
4.534	19.58	58	4 0 0
3.166	28.18	89	4 0 1
3.131	28.51	100	3 1 -1
2.642	33.94	70	5 1 -1
2.291	39.33	62	1 1 -2
2.253	40.03	51	0 2 0
2.207	40.89	74	1 1 2
2.187	41.28	100	7 1 -1

CuH8C12IN4: simulated powder X-ray diffraction pattern (Cu Kα, 1.54184 Å), based on a GGA-PBE-relaxed structure.

Crystal structure
```
data_CuH8C12IN4
_chemical_formula_sum 'Cu2 H16 C24 I2 N8'
_cell_length_a 7.972
_cell_length_b 8.667
_cell_length_c 9.398
_cell_angle_alpha 92.96
_cell_angle_beta 100.93
_cell_angle_gamma 99.55
_symmetry_space_group_name_H-M 'P -1'
_symmetry_Int_Tables_number 2
_symmetry_space_group_name_Hall '-P 1'
loop_
_atom_site_label
_atom_site_fract_x
_atom_site_fract_y
_atom_site_fract_z
Cu1 0.090 0.438 0.107
H1 0.012 0.573 0.378
H2 0.074 0.118 0.759
H3 0.120 0.852 0.829
H4 0.169 0.753 0.595
H5 0.212 0.802 0.224
H6 0.372 0.257 0.077
H7 0.467 0.556 0.228
H8 0.494 0.832 0.630
C1 0.002 0.109 0.168
C2 0.028 0.961 0.206
C3 0.153 0.608 0.398
C4 0.186 0.917 0.198
C5 0.241 0.708 0.519
C6 0.277 0.172 0.115
C7 0.312 0.264 0.546
C8 0.313 0.025 0.154
C9 0.406 0.598 0.314
C10 0.420 0.753 0.538
C11 0.480 0.985 0.158
C12 0.495 0.305 0.565
I1 0.242 0.552 0.900
N1 0.123 0.213 0.123
N2 0.160 0.231 0.524
N3 0.233 0.556 0.295
N4 0.383 0.050 0.826
```

The 8 most intense peaks (2θ from 15° to 90°), sorted by position:
d_spacing	two_theta	I (rel.)	index
4.258	20.86	51	0 2 0
4.046	21.97	45	1 -2 0
3.997	22.24	43	0 2 -1
3.907	22.76	91	0 1 2
3.847	23.12	54	1 1 -2
3.743	23.77	100	0 2 1
3.267	27.30	49	0 2 -2
2.100	43.07	50	0 2 -4